Starting from a cell relaxed with GGA-PBE, the X-ray diffraction stick pattern of PmGa4Ag4 was computed for Cu Kα X-rays.

Largest 10 diffraction maxima, low angle first, 2θ from 15° to 90°:
| h k l | 2θ/deg | d [Å] | I_rel |
| --- | --- | --- | --- |
| 1 0 2 | 24.09 | 3.694 | 13.7 |
| 1 0 3 | 32.64 | 2.744 | 17.9 |
| 2 1 1 | 33.56 | 2.670 | 100.0 |
| 2 2 0 | 40.89 | 2.207 | 26.0 |
| 2 0 3 | 41.36 | 2.183 | 66.5 |
| 1 0 4 | 42.01 | 2.151 | 23.3 |
| 4 0 0 | 59.21 | 1.560 | 17.8 |
| 3 2 4 | 67.86 | 1.381 | 16.1 |
| 4 2 3 | 74.78 | 1.269 | 16.4 |
| 5 2 1 | 84.20 | 1.150 | 12.2 |

Atomic structure:
Lattice parameters (Å, degrees): 6.2418 6.2418 9.1644 90.00 90.00 90.00
Space group P4_2/nmc (No. 137, origin choice 2)
One atom of each set of equivalent atoms:
Pm 0.2500 0.7500 0.2500
Ga 0.0306 0.2500 0.0433
Ag 0.0274 0.2500 0.3338